Record 1
Starting from a DFT-relaxed cell (GGA-PBE, Alexandria), the powder diffractogram of La2Sm4Tm was computed for Cu Ka.
No peak broadening, texture or thermal motion is included.

Crystal structure
Cell lengths 9.5503, 11.9093, 9.3963 Å; angles 90.00, 117.05, 90.00 degrees
Space group Cc (No. 9)
Symmetry-distinct sites (fractional):
La  0.0000  0.1161  0.0000 x4
La  0.2130  0.3657  0.0681 x4
Sm  0.0675  0.3702  0.3611 x4
Sm  0.2824  0.1216  0.4281 x4
Sm  0.3553  0.3751  0.7822 x4
Sm  0.4298  0.1176  0.1447 x4
Tm  0.1455  0.1328  0.7147 x4

Most intense lines, 2θ from 5° to 70°, by angle:
2θ = 29.8°, I 58.1; 2θ = 29.9°, I 56.8; 2θ = 30.0°, I 55.2; 2θ = 31.4°, I 100.0; 2θ = 36.8°, I 64.6; 2θ = 48.2°, I 29.3; 2θ = 50.0°, I 13.6; 2θ = 50.2°, I 13.6; 2θ = 54.2°, I 20.3; 2θ = 54.3°, I 21.2


Record 2
Starting from a DFT-relaxed cell (GGA-PBE, Alexandria), the powder diffractogram of LaSmYTm was computed for Cu Ka.
No peak broadening, texture or thermal motion is included.

Crystal structure
Cell lengths 12.4835, 5.8797, 3.8517 Å; angles 90.00, 107.71, 90.00 degrees
Space group Cm (No. 8)
Symmetry-distinct sites (fractional):
La  0.0000  0.0000  0.0000 x2
Sm  0.2339  0.5000  0.2052 x2
Y  0.2583  0.0000  0.7332 x2
Tm  0.4946  0.0000  0.4797 x2

Most intense lines, 2θ from 5° to 70°, by angle:
2θ = 30.1°, I 55.3; 2θ = 30.4°, I 56.0; 2θ = 31.5°, I 99.6; 2θ = 31.6°, I 100.0; 2θ = 43.3°, I 40.8; 2θ = 47.2°, I 16.3; 2θ = 54.2°, I 19.4; 2θ = 54.4°, I 19.9; 2θ = 54.8°, I 41.9; 2θ = 57.2°, I 27.3